# Sm4MgSn2
Computed powder X-ray diffraction pattern, Cu Kα X-rays. Input: a crystal structure in Alexandria, relaxed with GGA-PBE.
Neutral-atom scattering factors, no anomalous dispersion.

Structure:
a = 7.8678 Å, b = 6.4881 Å, c = 8.8126 Å
α = 90.00°, β = 111.76°, γ = 90.00°
Space group P2_1/m (No. 11)
Asymmetric unit:
Sm 0.0042 0.2500 0.4785 [2 per cell]
Sm 0.1742 0.5041 0.2188 [4 per cell]
Sm 0.3323 0.2500 0.8862 [2 per cell]
Mg 0.4377 0.7500 0.7011 [2 per cell]
Sn 0.2222 0.7500 0.9162 [2 per cell]
Sn 0.4262 0.2500 0.5681 [2 per cell]

The 10 most intense peaks (5 to 70 degrees two-theta), in order of rising 2θ:
- (2 0 -2), 2θ = 25.98°, rel. 20
- (2 0 1), 2θ = 30.26°, rel. 59
- (1 0 -3), 2θ = 30.46°, rel. 100
- (1 1 -3), 2θ = 33.49°, rel. 19
- (1 2 1), 2θ = 33.66°, rel. 16
- (3 0 -2), 2θ = 35.27°, rel. 64
- (2 2 -1), 2θ = 35.93°, rel. 27
- (3 1 -2), 2θ = 37.92°, rel. 18
- (1 2 2), 2θ = 40.15°, rel. 24
- (2 4 1), 2θ = 65.71°, rel. 22